Entry 1:
# Pm6Y2Er5
Simulated powder diffraction line list, Cu Kα (λ = 1.5418 Å). Input: DFT lattice parameters and positions (PBE).

Peak list (6 most intense, 2θ from 5° to 70°, sorted by position)
d (Å)	2θ (°)	I_rel
2.898	30.9	49.4
2.859	31.3	49.1
2.830	31.6	65.3
2.818	31.8	33.3
2.801	31.9	100.0
2.632	34.1	40.2

Structural model:
Lattice parameters (Å, degrees): 11.7096 20.4172 3.6113 90.00 90.00 90.00
Element x y z (fractional)
Pm: 0.0591 0.0797 0.0000
Pm: 0.0825 0.3661 0.0000
Pm: 0.1728 0.6320 0.5000
Pm: 0.3272 0.1320 0.5000
Pm: 0.4175 0.8661 0.0000
Pm: 0.4409 0.5797 0.0000
Pm: 0.5591 0.4203 0.0000
Pm: 0.5825 0.1339 0.0000
Pm: 0.6728 0.8680 0.5000
Pm: 0.8272 0.3680 0.5000
Pm: 0.9175 0.6339 0.0000
Pm: 0.9409 0.9203 0.0000
Y: 0.1636 0.7885 0.0000
Y: 0.3364 0.2885 0.0000
Y: 0.6636 0.7115 0.0000
Y: 0.8364 0.2115 0.0000
Er: 0.0000 0.5000 0.5000
Er: 0.0960 0.2250 0.5000
Er: 0.1990 0.9452 0.5000
Er: 0.3010 0.4452 0.5000
Er: 0.4040 0.7250 0.5000
Er: 0.5000 0.0000 0.5000
Er: 0.5960 0.2750 0.5000
Er: 0.6990 0.5548 0.5000
Er: 0.8010 0.0548 0.5000
Er: 0.9040 0.7750 0.5000

=====

Entry 2:
# PmY2Er6
Simulated powder diffraction line list, Cu Kα (λ = 1.5418 Å). Input: DFT lattice parameters and positions (PBE).

Peak list (6 most intense, 2θ from 5° to 70°, sorted by position)
d (Å)	2θ (°)	I_rel
4.744	18.7	2.3
2.889	31.0	100.0
2.502	35.9	50.5
1.769	51.7	35.8
1.509	61.5	42.4
1.444	64.5	12.2

Structural model:
Lattice parameters (Å, degrees): 10.6070 10.6070 5.0093 90.00 90.00 90.00
Element x y z (fractional)
Pm: 0.0000 0.0000 0.0000
Pm: 0.5000 0.5000 0.5000
Y: 0.1675 0.1675 0.5000
Y: 0.3325 0.6675 0.0000
Y: 0.6675 0.3325 0.0000
Y: 0.8325 0.8325 0.5000
Er: 0.0004 0.3349 0.0000
Er: 0.9996 0.6651 0.0000
Er: 0.1651 0.5004 0.5000
Er: 0.1675 0.8325 0.5000
Er: 0.3325 0.3325 0.0000
Er: 0.3349 0.0004 0.0000
Er: 0.5004 0.1651 0.5000
Er: 0.4996 0.8349 0.5000
Er: 0.6651 0.9996 0.0000
Er: 0.6675 0.6675 0.0000
Er: 0.8325 0.1675 0.5000
Er: 0.8349 0.4996 0.5000

=====

Entry 3:
# Pm5Y2Er6
Simulated powder diffraction line list, Cu Kα (λ = 1.5418 Å). Input: DFT lattice parameters and positions (PBE).

Peak list (6 most intense, 2θ from 5° to 70°, sorted by position)
d (Å)	2θ (°)	I_rel
2.886	31.0	60.8
2.843	31.5	48.2
2.829	31.6	68.1
2.784	32.1	100.0
2.619	34.2	39.3
2.456	36.6	31.4

Structural model:
Lattice parameters (Å, degrees): 11.6597 20.4161 3.5809 90.00 90.00 90.00
Element x y z (fractional)
Pm: 0.0000 0.0000 0.0000
Pm: 0.0887 0.2737 0.0000
Pm: 0.1994 0.5497 0.0000
Pm: 0.3006 0.0497 0.0000
Pm: 0.4113 0.7737 0.0000
Pm: 0.5000 0.5000 0.0000
Pm: 0.5887 0.2263 0.0000
Pm: 0.6994 0.9503 0.0000
Pm: 0.8006 0.4503 0.0000
Pm: 0.9113 0.7263 0.0000
Y: 0.1682 0.7110 0.5000
Y: 0.3318 0.2110 0.5000
Y: 0.6682 0.7890 0.5000
Y: 0.8318 0.2890 0.5000
Er: 0.0600 0.4191 0.5000
Er: 0.0804 0.1320 0.5000
Er: 0.1750 0.8642 0.0000
Er: 0.3250 0.3642 0.0000
Er: 0.4196 0.6320 0.5000
Er: 0.4400 0.9191 0.5000
Er: 0.5600 0.0809 0.5000
Er: 0.5804 0.3680 0.5000
Er: 0.6750 0.6358 0.0000
Er: 0.8250 0.1358 0.0000
Er: 0.9196 0.8680 0.5000
Er: 0.9400 0.5809 0.5000

=====

Entry 4:
# Pm4YEr4
Simulated powder diffraction line list, Cu Kα (λ = 1.5418 Å). Input: DFT lattice parameters and positions (PBE).

Peak list (6 most intense, 2θ from 5° to 70°, sorted by position)
d (Å)	2θ (°)	I_rel
2.922	30.6	100.0
2.534	35.4	33.8
2.525	35.6	16.8
1.790	51.0	36.0
1.527	60.6	28.6
1.524	60.8	14.2

Structural model:
Lattice parameters (Å, degrees): 8.0097 8.0097 8.0097 95.70 95.70 143.25
Element x y z (fractional)
Pm: 0.0000 0.3313 0.3313
Pm: 0.0000 0.6687 0.6687
Pm: 0.3313 0.0000 0.3313
Pm: 0.6687 0.0000 0.6687
Y: 0.0000 0.0000 0.0000
Er: 0.3336 0.3336 0.6672
Er: 0.3336 0.6664 0.0000
Er: 0.6664 0.3336 0.0000
Er: 0.6664 0.6664 0.3328